# 1
AcPbSe2: computed powder diffraction line list (copper Kα), based on a crystal structure in Alexandria, relaxed with GGA-PBE.

Structural model:
abc: 4.4083 8.9608 6.3625
angles: 90.00 90.00 90.00
Fractional positions:
Ac: 0.0000 0.0000 0.0000
Ac: 0.5000 0.5000 0.5000
Pb: 0.0000 0.5000 0.9774
Pb: 0.5000 0.0000 0.4774
Se: 0.0000 0.2890 0.3034
Se: 0.0000 0.7110 0.3034
Se: 0.5000 0.2110 0.8034
Se: 0.5000 0.7890 0.8034

The 10 most intense peaks (2θ from 5° to 70°), in order of rising 2θ:
- 19.8 deg, d = 4.480 Å, rel. 25
- 24.6 deg, d = 3.624 Å, rel. 58
- 28.0 deg, d = 3.181 Å, rel. 15
- 31.8 deg, d = 2.817 Å, rel. 100
- 34.6 deg, d = 2.594 Å, rel. 45
- 40.3 deg, d = 2.240 Å, rel. 14
- 40.9 deg, d = 2.204 Å, rel. 18
- 47.6 deg, d = 1.911 Å, rel. 22
- 47.7 deg, d = 1.905 Å, rel. 21
- 54.6 deg, d = 1.680 Å, rel. 25

# 2
AcPb5Se7: computed powder diffraction line list (copper Kα), based on a crystal structure in Alexandria, relaxed with GGA-PBE.

Structural model:
abc: 7.5504 7.5504 25.2950
angles: 90.00 90.00 146.50
Fractional positions:
Ac: 0.2025 0.7975 0.5000
Ac: 0.7975 0.2025 0.0000
Pb: 0.0055 0.9945 0.2560
Pb: 0.2670 0.7330 0.8328
Pb: 0.2817 0.7183 0.1821
Pb: 0.4479 0.5521 0.6089
Pb: 0.4663 0.5337 0.4064
Pb: 0.5337 0.4663 0.9064
Pb: 0.5521 0.4479 0.1089
Pb: 0.7183 0.2817 0.6821
Pb: 0.7330 0.2670 0.3328
Pb: 0.9945 0.0055 0.7560
Se: 0.0818 0.9182 0.6497
Se: 0.1081 0.8919 0.3784
Se: 0.1784 0.8216 0.9370
Se: 0.1972 0.8028 0.0754
Se: 0.3578 0.6422 0.7210
Se: 0.3691 0.6309 0.2952
Se: 0.4471 0.5529 0.0096
Se: 0.5529 0.4471 0.5096
Se: 0.6309 0.3691 0.7952
Se: 0.6422 0.3578 0.2210
Se: 0.8028 0.1972 0.5754
Se: 0.8216 0.1784 0.4370
Se: 0.8919 0.1081 0.8784
Se: 0.9182 0.0818 0.1497

The 10 most intense peaks (2θ from 5° to 70°), in order of rising 2θ:
- 23.8 deg, d = 3.736 Å, rel. 24
- 24.4 deg, d = 3.642 Å, rel. 63
- 27.6 deg, d = 3.232 Å, rel. 31
- 28.5 deg, d = 3.130 Å, rel. 88
- 29.6 deg, d = 3.016 Å, rel. 79
- 30.9 deg, d = 2.897 Å, rel. 25
- 38.6 deg, d = 2.330 Å, rel. 42
- 40.1 deg, d = 2.251 Å, rel. 35
- 41.5 deg, d = 2.176 Å, rel. 100
- 41.8 deg, d = 2.162 Å, rel. 28

What did the first record say?
AcPbSe2: computed powder diffraction line list (copper Kα), based on a crystal structure in Alexandria, relaxed with GGA-PBE.

Structural model:
abc: 4.4083 8.9608 6.3625
angles: 90.00 90.00 90.00
Fractional positions:
Ac: 0.0000 0.0000 0.0000
Ac: 0.5000 0.5000 0.5000
Pb: 0.0000 0.5000 0.9774
Pb: 0.5000 0.0000 0.4774
Se: 0.0000 0.2890 0.3034
Se: 0.0000 0.7110 0.3034
Se: 0.5000 0.2110 0.8034
Se: 0.5000 0.7890 0.8034

The 10 most intense peaks (2θ from 5° to 70°), in order of rising 2θ:
- 19.8 deg, d = 4.480 Å, rel. 25
- 24.6 deg, d = 3.624 Å, rel. 58
- 28.0 deg, d = 3.181 Å, rel. 15
- 31.8 deg, d = 2.817 Å, rel. 100
- 34.6 deg, d = 2.594 Å, rel. 45
- 40.3 deg, d = 2.240 Å, rel. 14
- 40.9 deg, d = 2.204 Å, rel. 18
- 47.6 deg, d = 1.911 Å, rel. 22
- 47.7 deg, d = 1.905 Å, rel. 21
- 54.6 deg, d = 1.680 Å, rel. 25